# Ba3NdTl4
Theoretical powder diffraction line list, Cu Kα (λ = 1.5418 Å). Input: a DFT-relaxed cell (PBE, Alexandria).

Structural model:
```
Ba3NdTl4
1.0
4.1584 0.0000 0.0000
0.0000 4.1584 0.0000
0.0000 0.0000 17.0761
Ba Nd Tl
3 1 4
direct
0.0000 0.0000 0.0000
0.0000 0.0000 0.2602
0.0000 0.0000 0.7398
0.0000 0.0000 0.5000
0.5000 0.5000 0.1271
0.5000 0.5000 0.3978
0.5000 0.5000 0.6022
0.5000 0.5000 0.8729
```

The 8 most intense peaks (10 to 80 degrees two-theta), in order of rising 2θ:
d (Å)  I (rel.)
2.979  100
2.940  54
2.079  20
1.727  15
1.705  40
1.489  9
1.318  9
1.315  9

---

# CsAlHgTe3
Theoretical powder diffraction line list, Cu Kα (λ = 1.5418 Å). Input: a DFT-relaxed cell (PBE, Alexandria).

Structural model:
```
CsAlHgTe3
1.0
7.9334 -4.3045 0.0000
7.9334 4.3045 0.0000
-3.1235 0.0000 7.5503
Cs Al Hg Te
2 2 2 6
direct
0.1677 0.1677 0.2603
0.8323 0.8323 0.7397
0.4281 0.4281 0.0982
0.5719 0.5719 0.9018
0.2486 0.7514 0.5000
0.7514 0.2486 0.5000
0.1038 0.6163 0.1833
0.3837 0.8962 0.8167
0.3910 0.3910 0.7534
0.6090 0.6090 0.2466
0.6163 0.1038 0.1833
0.8962 0.3837 0.8167
```

The 8 most intense peaks (10 to 80 degrees two-theta), in order of rising 2θ:
d (Å)  I (rel.)
6.691  18
3.620  100
3.346  30
2.931  15
2.400  15
2.152  14
1.981  13
1.832  14

---

# Si2Hg3
Theoretical powder diffraction line list, Cu Kα (λ = 1.5418 Å). Input: a DFT-relaxed cell (PBE, Alexandria).

Structural model:
```
Si2Hg3
1.0
5.0744 0.0000 0.0000
-2.5372 4.3946 0.0000
0.0000 0.0000 5.3362
Si Hg
2 3
direct
0.3333 0.6667 0.0000
0.6667 0.3333 0.0000
0.0000 0.0000 0.0000
0.3333 0.6667 0.5000
0.6667 0.3333 0.5000
```

The 8 most intense peaks (10 to 80 degrees two-theta), in order of rising 2θ:
d (Å)  I (rel.)
3.392  100
2.668  28
2.537  74
2.032  25
1.839  58
1.586  23
1.465  14
1.284  18

---

# NaSi
Theoretical powder diffraction line list, Cu Kα (λ = 1.5418 Å). Input: a DFT-relaxed cell (PBE, Alexandria).

Structural model:
```
NaSi
1.0
6.0628 -3.2871 0.0000
6.0628 3.2871 0.0000
-5.3172 0.0000 9.7057
Na Si
8 8
direct
0.0369 0.2250 0.4521
0.1899 0.5121 0.8581
0.2250 0.0369 0.9521
0.4879 0.8101 0.6419
0.5121 0.1899 0.3581
0.7750 0.9631 0.0479
0.8101 0.4879 0.1419
0.9631 0.7750 0.5479
0.1459 0.7310 0.3129
0.2690 0.8541 0.1871
0.3639 0.4398 0.1422
0.4398 0.3639 0.6422
0.5602 0.6361 0.3578
0.6361 0.5602 0.8578
0.7310 0.1459 0.8129
0.8541 0.2690 0.6871
```

The 8 most intense peaks (10 to 80 degrees two-theta), in order of rising 2θ:
d (Å)  I (rel.)
3.169  56
2.888  72
2.741  54
2.659  100
2.523  56
2.493  63
2.236  53
2.194  66

---

# La3ThSi4
Theoretical powder diffraction line list, Cu Kα (λ = 1.5418 Å). Input: a DFT-relaxed cell (PBE, Alexandria).

Structural model:
```
La3ThSi4
1.0
-2.1386 3.2448 8.1690
2.1386 -3.2448 8.1690
2.1386 3.2448 -8.1690
La Th Si
3 1 4
direct
0.0000 0.0000 0.0000
0.3065 0.8065 0.5000
0.6935 0.1935 0.5000
0.5000 0.5000 0.0000
0.0519 0.3704 0.6814
0.3110 0.6296 0.6814
0.6890 0.3704 0.3186
0.9481 0.6296 0.3186
```

The 8 most intense peaks (10 to 80 degrees two-theta), in order of rising 2θ:
d (Å)  I (rel.)
3.272  100
3.245  23
2.919  17
2.689  25
2.541  18
2.335  18
1.879  20
1.773  18

---

# Li2NdSiAu4
Theoretical powder diffraction line list, Cu Kα (λ = 1.5418 Å). Input: a DFT-relaxed cell (PBE, Alexandria).

Structural model:
```
Li2NdSiAu4
1.0
2.2269 1.2857 8.7183
-2.2269 1.2857 8.7183
0.0000 -2.5714 8.7183
Li Nd Si Au
2 1 1 4
direct
0.2367 0.2367 0.2367
0.7633 0.7633 0.7633
0.0000 0.0000 0.0000
0.5000 0.5000 0.5000
0.1312 0.1312 0.1312
0.4002 0.4002 0.4002
0.5998 0.5998 0.5998
0.8688 0.8688 0.8688
```

The 8 most intense peaks (10 to 80 degrees two-theta), in order of rising 2θ:
d (Å)  I (rel.)
3.700  27
3.322  85
3.104  23
2.684  60
2.494  66
2.227  100
2.024  28
1.373  36